# CrGaP2
Calculated powder X-ray diffraction pattern, CuKα. Input: a PBE-relaxed structure.

Peak list (12 most intense, 5 to 70 degrees two-theta, by angle)
23.0 deg, rel. 1, (1 0 0); 28.3 deg, rel. 100, (1 0 1); 32.8 deg, rel. 7, (1 1 0); 33.0 deg, rel. 4, (0 0 2); 36.8 deg, rel. 1, (1 1 1); 47.0 deg, rel. 20, (2 0 0); 47.1 deg, rel. 40, (1 1 2); 55.8 deg, rel. 27, (2 1 1); 56.0 deg, rel. 13, (1 0 3); 58.6 deg, rel. 3, (2 0 2); 68.7 deg, rel. 6, (2 2 0); 69.1 deg, rel. 3, (0 0 4)

Structural model:
```
data_CrGaP2
_chemical_formula_sum 'Cr1 Ga1 P2'
_space_group_name_H-M_alt 'P -4 m 2'
_space_group_IT_number 115
_space_group_name_Hall 'P -4 -2'
_cell_length_a 3.866
_cell_length_b 3.866
_cell_length_c 5.437
_cell_angle_alpha 90.00
_cell_angle_beta 90.00
_cell_angle_gamma 90.00
loop_
_atom_site_label
_atom_site_type_symbol
_atom_site_fract_x
_atom_site_fract_y
_atom_site_fract_z
Cr1 Cr 0.000 0.000 0.000
Ga1 Ga 0.500 0.500 0.500
P1 P 0.000 0.500 0.758
```